Entry 1:
SmDyTm2In2: theoretical powder XRD pattern (Cu Kα X-rays), based on a GGA-PBE-relaxed structure.

Atomic structure:
Cell lengths 5.3692, 5.3692, 6.7342 Å; angles 90.00, 90.00, 120.00 degrees
Space group P-3m1 (No. 164)
Asymmetric unit:
Sm 0.0000 0.0000 0.0000 (multiplicity 1)
Dy 0.0000 0.0000 0.5000 (multiplicity 1)
Tm 0.3333 0.6667 0.2529 (multiplicity 2)
In 0.3333 0.6667 0.7477 (multiplicity 2)

Largest 8 diffraction maxima, by angle, 2θ from 5° to 70°:
2θ 32.8, rel. 95.4
2θ 33.4, rel. 100.0
2θ 43.1, rel. 8.6
2θ 47.5, rel. 34.0
2θ 54.5, rel. 8.2
2θ 59.3, rel. 34.9
2θ 59.7, rel. 18.7
2θ 65.4, rel. 28.2


Entry 2:
TbDyIn4: theoretical powder XRD pattern (Cu Kα X-rays), based on a GGA-PBE-relaxed structure.

Atomic structure:
Cell lengths 4.646, 4.602, 14.237 Å; angles 90.00, 90.00, 90.00 degrees
Space group Amm2 (No. 38)
Asymmetric unit:
Tb 0.000 0.000 0.000 (multiplicity 2)
Dy 0.000 0.000 0.311 (multiplicity 2)
In 0.000 0.000 0.656 (multiplicity 2)
In 0.500 0.000 0.156 (multiplicity 2)
In 0.500 0.000 0.480 (multiplicity 2)
In 0.500 0.000 0.831 (multiplicity 2)

Largest 8 diffraction maxima, by angle, 2θ from 5° to 70°:
2θ 33.3, rel. 100.0
2θ 37.9, rel. 16.1
2θ 38.8, rel. 16.9
2θ 39.1, rel. 16.4
2θ 55.3, rel. 11.4
2θ 56.3, rel. 11.2
2θ 66.7, rel. 12.9
2θ 67.2, rel. 12.6


Entry 3:
TbDyIn5: theoretical powder XRD pattern (Cu Kα X-rays), based on a GGA-PBE-relaxed structure.

Atomic structure:
Cell lengths 4.679, 4.679, 8.564 Å; angles 90.00, 90.00, 90.00 degrees
Space group P4/mmm (No. 123)
Asymmetric unit:
Tb 0.000 0.000 0.000 (multiplicity 1)
Dy 0.000 0.000 0.500 (multiplicity 1)
In 0.000 0.500 0.264 (multiplicity 4)
In 0.500 0.500 0.000 (multiplicity 1)

Largest 8 diffraction maxima, by angle, 2θ from 5° to 70°:
2θ 19.0, rel. 10.8
2θ 28.3, rel. 8.2
2θ 34.3, rel. 100.0
2θ 38.5, rel. 36.8
2θ 42.2, rel. 13.3
2θ 55.6, rel. 12.4
2θ 58.4, rel. 20.0
2θ 66.9, rel. 27.6


Entry 4:
DyYIn4: theoretical powder XRD pattern (Cu Kα X-rays), based on a GGA-PBE-relaxed structure.

Atomic structure:
Cell lengths 4.655, 4.623, 14.291 Å; angles 90.00, 90.00, 90.00 degrees
Space group Amm2 (No. 38)
Asymmetric unit:
Dy 0.000 0.000 0.000 (multiplicity 2)
Y 0.000 0.000 0.309 (multiplicity 2)
In 0.000 0.000 0.654 (multiplicity 2)
In 0.500 0.000 0.154 (multiplicity 2)
In 0.500 0.000 0.479 (multiplicity 2)
In 0.500 0.000 0.830 (multiplicity 2)

Largest 8 diffraction maxima, by angle, 2θ from 5° to 70°:
2θ 33.2, rel. 100.0
2θ 37.8, rel. 16.1
2θ 38.7, rel. 16.8
2θ 39.0, rel. 16.5
2θ 56.1, rel. 11.1
2θ 65.3, rel. 10.7
2θ 66.5, rel. 12.8
2θ 66.9, rel. 12.5


Entry 5:
DyZrZn2In: theoretical powder XRD pattern (Cu Kα X-rays), based on a GGA-PBE-relaxed structure.

Atomic structure:
Cell lengths 3.349, 4.379, 14.085 Å; angles 90.00, 90.00, 90.00 degrees
Space group Amm2 (No. 38)
Asymmetric unit:
Dy 0.000 0.000 0.000 (multiplicity 2)
Zr 0.000 0.000 0.753 (multiplicity 2)
Zn 0.500 0.000 0.179 (multiplicity 2)
Zn 0.500 0.000 0.585 (multiplicity 2)
In 0.500 0.000 0.374 (multiplicity 2)

Largest 8 diffraction maxima, by angle, 2θ from 5° to 70°:
2θ 27.9, rel. 26.9
2θ 34.3, rel. 100.0
2θ 37.0, rel. 62.0
2θ 38.0, rel. 65.0
2θ 38.9, rel. 17.3
2θ 41.2, rel. 33.6
2θ 56.6, rel. 35.5
2θ 68.6, rel. 21.8


Entry 6:
Dy5Ir3: theoretical powder XRD pattern (Cu Kα X-rays), based on a GGA-PBE-relaxed structure.

Atomic structure:
Cell lengths 10.864, 10.864, 6.344 Å; angles 90.00, 90.00, 90.00 degrees
Space group P4/ncc (No. 130, origin choice 2)
Asymmetric unit:
Dy 0.041 0.162 0.123 (multiplicity 16)
Dy 0.250 0.750 0.000 (multiplicity 4)
Ir 0.096 0.596 0.750 (multiplicity 8)
Ir 0.250 0.250 0.377 (multiplicity 4)

Largest 8 diffraction maxima, by angle, 2θ from 5° to 70°:
2θ 23.1, rel. 21.1
2θ 29.6, rel. 36.5
2θ 32.9, rel. 33.5
2θ 33.7, rel. 41.3
2θ 37.0, rel. 100.0
2θ 37.7, rel. 19.9
2θ 38.6, rel. 26.0
2θ 46.9, rel. 20.7


Entry 7:
La2Dy2Ir: theoretical powder XRD pattern (Cu Kα X-rays), based on a GGA-PBE-relaxed structure.

Atomic structure:
Cell lengths 6.183, 12.409, 4.301 Å; angles 90.00, 90.00, 90.00 degrees
Space group Pbam (No. 55)
Asymmetric unit:
La 0.176 0.123 0.000 (multiplicity 4)
Dy 0.158 0.361 0.500 (multiplicity 4)
Ir 0.000 0.000 0.500 (multiplicity 2)

Largest 8 diffraction maxima, by angle, 2θ from 5° to 70°:
2θ 16.0, rel. 21.5
2θ 29.1, rel. 100.0
2θ 29.8, rel. 26.2
2θ 33.4, rel. 48.8
2θ 42.0, rel. 22.1
2θ 44.6, rel. 17.8
2θ 49.6, rel. 30.5
2θ 51.2, rel. 18.3


Entry 8:
Dy3Lu4Ir2S2: theoretical powder XRD pattern (Cu Kα X-rays), based on a GGA-PBE-relaxed structure.

Atomic structure:
Cell lengths 3.851, 14.722, 8.923 Å; angles 90.00, 90.00, 90.00 degrees
Space group Imm2 (No. 44)
Asymmetric unit:
Dy 0.000 0.000 0.000 (multiplicity 2)
Dy 0.000 0.361 0.753 (multiplicity 4)
Lu 0.000 0.121 0.592 (multiplicity 4)
Lu 0.000 0.320 0.376 (multiplicity 4)
Ir 0.000 0.242 0.073 (multiplicity 4)
S 0.000 0.000 0.347 (multiplicity 2)
S 0.000 0.500 0.246 (multiplicity 2)

Largest 8 diffraction maxima, by angle, 2θ from 5° to 70°:
2θ 12.0, rel. 35.1
2θ 31.3, rel. 36.9
2θ 32.0, rel. 20.0
2θ 35.2, rel. 100.0
2θ 35.8, rel. 29.4
2θ 38.2, rel. 17.5
2θ 40.2, rel. 19.2
2θ 47.2, rel. 20.2


Entry 9:
DyLu6Ir2Se2: theoretical powder XRD pattern (Cu Kα X-rays), based on a GGA-PBE-relaxed structure.

Atomic structure:
Cell lengths 3.840, 14.901, 9.034 Å; angles 90.00, 90.00, 90.00 degrees
Space group Imm2 (No. 44)
Asymmetric unit:
Dy 0.000 0.000 0.000 (multiplicity 2)
Lu 0.000 0.125 0.416 (multiplicity 4)
Lu 0.000 0.317 0.629 (multiplicity 4)
Lu 0.000 0.357 0.259 (multiplicity 4)
Ir 0.000 0.240 0.929 (multiplicity 4)
Se 0.000 0.000 0.661 (multiplicity 2)
Se 0.000 0.500 0.761 (multiplicity 2)

Largest 8 diffraction maxima, by angle, 2θ from 5° to 70°:
2θ 11.9, rel. 33.1
2θ 31.1, rel. 53.0
2θ 34.8, rel. 37.7
2θ 35.0, rel. 100.0
2θ 35.6, rel. 38.8
2θ 38.0, rel. 22.4
2θ 39.9, rel. 31.5
2θ 47.3, rel. 26.6


Entry 10:
Dy4Lu3Te2Ir2: theoretical powder XRD pattern (Cu Kα X-rays), based on a GGA-PBE-relaxed structure.

Atomic structure:
Cell lengths 3.919, 15.675, 9.384 Å; angles 90.00, 90.00, 90.00 degrees
Space group Imm2 (No. 44)
Asymmetric unit:
Dy 0.000 0.147 0.000 (multiplicity 4)
Dy 0.000 0.183 0.639 (multiplicity 4)
Lu 0.000 0.368 0.849 (multiplicity 4)
Lu 0.000 0.500 0.267 (multiplicity 2)
Te 0.000 0.000 0.499 (multiplicity 2)
Te 0.000 0.500 0.606 (multiplicity 2)
Ir 0.000 0.259 0.337 (multiplicity 4)

Largest 8 diffraction maxima, by angle, 2θ from 5° to 70°:
2θ 11.3, rel. 19.9
2θ 30.3, rel. 36.3
2θ 33.4, rel. 44.4
2θ 33.7, rel. 100.0
2θ 34.4, rel. 45.4
2θ 36.8, rel. 20.7
2θ 38.6, rel. 23.6
2θ 46.3, rel. 32.5


Entry 11:
Dy3Lu4Te2Ir2: theoretical powder XRD pattern (Cu Kα X-rays), based on a GGA-PBE-relaxed structure.

Atomic structure:
Cell lengths 3.923, 15.578, 9.279 Å; angles 90.00, 90.00, 90.00 degrees
Space group Imm2 (No. 44)
Asymmetric unit:
Dy 0.000 0.000 0.000 (multiplicity 2)
Dy 0.000 0.351 0.737 (multiplicity 4)
Lu 0.000 0.133 0.585 (multiplicity 4)
Lu 0.000 0.316 0.373 (multiplicity 4)
Te 0.000 0.000 0.341 (multiplicity 2)
Te 0.000 0.500 0.234 (multiplicity 2)
Ir 0.000 0.241 0.069 (multiplicity 4)

Largest 8 diffraction maxima, by angle, 2θ from 5° to 70°:
2θ 11.4, rel. 27.3
2θ 30.4, rel. 36.2
2θ 33.7, rel. 45.6
2θ 33.8, rel. 100.0
2θ 34.6, rel. 52.1
2θ 37.0, rel. 22.1
2θ 38.8, rel. 31.3
2θ 46.3, rel. 27.5


Entry 12:
Dy6LuTe2Ir2: theoretical powder XRD pattern (Cu Kα X-rays), based on a GGA-PBE-relaxed structure.

Atomic structure:
Cell lengths 3.925, 15.720, 9.486 Å; angles 90.00, 90.00, 90.00 degrees
Space group Imm2 (No. 44)
Asymmetric unit:
Dy 0.000 0.131 0.000 (multiplicity 4)
Dy 0.000 0.316 0.208 (multiplicity 4)
Dy 0.000 0.354 0.850 (multiplicity 4)
Lu 0.000 0.000 0.580 (multiplicity 2)
Te 0.000 0.000 0.247 (multiplicity 2)
Te 0.000 0.500 0.343 (multiplicity 2)
Ir 0.000 0.238 0.510 (multiplicity 4)

Largest 8 diffraction maxima, by angle, 2θ from 5° to 70°:
2θ 11.3, rel. 19.3
2θ 30.1, rel. 36.8
2θ 33.1, rel. 43.4
2θ 33.6, rel. 100.0
2θ 34.2, rel. 43.6
2θ 36.5, rel. 22.1
2θ 38.3, rel. 26.3
2θ 46.2, rel. 32.4


Entry 13:
Dy4Lu3Te2Ir2: theoretical powder XRD pattern (Cu Kα X-rays), based on a GGA-PBE-relaxed structure.

Atomic structure:
Cell lengths 3.898, 15.633, 9.491 Å; angles 90.00, 90.00, 90.00 degrees
Space group Imm2 (No. 44)
Asymmetric unit:
Dy 0.000 0.131 0.000 (multiplicity 4)
Dy 0.000 0.315 0.793 (multiplicity 4)
Lu 0.000 0.000 0.424 (multiplicity 2)
Lu 0.000 0.354 0.148 (multiplicity 4)
Te 0.000 0.000 0.753 (multiplicity 2)
Te 0.000 0.500 0.659 (multiplicity 2)
Ir 0.000 0.236 0.496 (multiplicity 4)

Largest 8 diffraction maxima, by angle, 2θ from 5° to 70°:
2θ 30.2, rel. 37.6
2θ 33.1, rel. 43.9
2θ 33.8, rel. 100.0
2θ 34.4, rel. 42.3
2θ 36.6, rel. 21.9
2θ 38.4, rel. 25.8
2θ 46.6, rel. 25.5
2θ 58.4, rel. 22.1


Entry 14:
Dy5Lu2Te2Ir2: theoretical powder XRD pattern (Cu Kα X-rays), based on a GGA-PBE-relaxed structure.

Atomic structure:
Cell lengths 3.938, 15.660, 9.392 Å; angles 90.00, 90.00, 90.00 degrees
Space group Imm2 (No. 44)
Asymmetric unit:
Dy 0.000 0.000 0.000 (multiplicity 2)
Dy 0.000 0.131 0.417 (multiplicity 4)
Dy 0.000 0.352 0.266 (multiplicity 4)
Lu 0.000 0.315 0.627 (multiplicity 4)
Te 0.000 0.000 0.665 (multiplicity 2)
Te 0.000 0.500 0.762 (multiplicity 2)
Ir 0.000 0.238 0.931 (multiplicity 4)

Largest 8 diffraction maxima, by angle, 2θ from 5° to 70°:
2θ 11.3, rel. 26.8
2θ 30.1, rel. 56.1
2θ 33.4, rel. 44.7
2θ 33.7, rel. 100.0
2θ 34.3, rel. 50.7
2θ 36.7, rel. 24.9
2θ 38.5, rel. 29.0
2θ 46.1, rel. 27.7